# 1
Diffraction record for Cd8HgAu2. The PXRD pattern is theoretical, not measured: it uses a GGA-PBE-relaxed structure and Cu Kα (weighted mean of Kα1 and Kα2).

Principal peaks in the range 10° ≤ 2θ ≤ 90°, by angle:
d 3.942, 22.56°, intensity 109
d 3.913, 22.73°, intensity 91
d 2.576, 34.83°, intensity 120
d 2.476, 36.28°, intensity 1000
d 2.291, 39.33°, intensity 232
d 2.268, 39.74°, intensity 184
d 1.933, 47.01°, intensity 94
d 1.612, 57.15°, intensity 124
d 1.356, 69.32°, intensity 156
d 1.346, 69.88°, intensity 137

Structure:
Unit cell a=8.1550 b=8.1550 c=8.1550 alpha=147.37 beta=123.41 gamma=66.87
Positions (direct):
Cd  0.1189  0.3433  0.7756
Cd  0.1603  0.1603  0.0000
Cd  0.3024  0.0000  0.3024
Cd  0.4323  0.6567  0.7756
Cd  0.5677  0.3433  0.2244
Cd  0.6976  0.0000  0.6976
Cd  0.8397  0.8397  0.0000
Cd  0.8811  0.6567  0.2244
Hg  0.0000  0.5000  0.5000
Au  0.3136  0.8136  0.5000
Au  0.6864  0.1864  0.5000

# 2
Diffraction record for Cd5HgAu3. The PXRD pattern is theoretical, not measured: it uses a GGA-PBE-relaxed structure and Cu Kα (weighted mean of Kα1 and Kα2).

Principal peaks in the range 10° ≤ 2θ ≤ 90°, by angle:
d 3.739, 23.80°, intensity 213
d 2.631, 34.07°, intensity 952
d 2.501, 35.90°, intensity 285
d 2.398, 37.50°, intensity 341
d 2.370, 37.96°, intensity 1000
d 2.242, 40.23°, intensity 415
d 1.870, 48.70°, intensity 260
d 1.564, 59.06°, intensity 195
d 1.436, 64.95°, intensity 218
d 1.275, 74.43°, intensity 194

Structure:
Unit cell a=8.3065 b=8.3065 c=5.8280 alpha=90.00 beta=90.00 gamma=71.87
Positions (direct):
Cd  0.1458  0.5253  0.2500
Cd  0.1671  0.1671  0.0000
Cd  0.1671  0.1671  0.5000
Cd  0.1894  0.8106  0.7500
Cd  0.4747  0.8542  0.2500
Cd  0.5253  0.1458  0.7500
Cd  0.8106  0.1894  0.2500
Cd  0.8329  0.8329  0.0000
Cd  0.8329  0.8329  0.5000
Cd  0.8542  0.4747  0.7500
Hg  0.5000  0.5000  0.0000
Hg  0.5000  0.5000  0.5000
Au  0.1208  0.8792  0.2500
Au  0.2024  0.4577  0.7500
Au  0.4577  0.2024  0.2500
Au  0.5423  0.7976  0.7500
Au  0.7976  0.5423  0.2500
Au  0.8792  0.1208  0.7500